(1)
Starting from a cell relaxed with PBE, the XRD peak list of Si2P4Rh was computed for Cu Kα (weighted mean of Kα1 and Kα2).
Peak positions follow from Bragg's law for the DFT cell and can differ from measured ones.

Crystal structure
Cell: 6.5282 7.3483 5.5997 Å, 90.00 118.46 90.00°
Space group C2/m (No. 12)
Asymmetric unit:
Si: 0.0882 0.0000 0.3615 [4 per cell]
P: 0.0656 0.2762 0.8462 [8 per cell]
Rh: 0.0000 0.5000 0.5000 [2 per cell]

Most intense lines, 2θ from 5° to 70°, in order of rising 2θ:
(hkl)  2θ/deg  Rel. int.
0 0 1  18.0  20.1
1 1 0  19.6  36.9
1 1 -1  21.1  49.1
0 2 1  30.4  100.0
2 0 0  31.2  49.1
1 1 -2  34.3  27.3
2 2 -2  43.0  21.0
3 1 -1  43.6  22.0
1 3 -2  49.5  18.7
2 2 1  50.3  39.3

(2)
Starting from a cell relaxed with PBE, the XRD peak list of Sr2P7Rh12 was computed for Cu Kα (weighted mean of Kα1 and Kα2).
Peak positions follow from Bragg's law for the DFT cell and can differ from measured ones.

Crystal structure
Cell: 9.7241 9.7241 3.8964 Å, 90.00 90.00 120.00°
Space group P3 (No. 143)
Asymmetric unit:
Sr: 0.0000 0.0000 0.0000 [1 per cell]
Sr: 0.3333 0.6667 0.5055 [1 per cell]
P: 0.0669 0.6219 0.0073 [3 per cell]
P: 0.2666 0.0443 0.4986 [3 per cell]
P: 0.6667 0.3333 0.7778 [1 per cell]
Rh: 0.0486 0.7750 0.5012 [3 per cell]
Rh: 0.1087 0.3946 0.0049 [3 per cell]
Rh: 0.4065 0.2217 0.0017 [3 per cell]
Rh: 0.5204 0.0769 0.5062 [3 per cell]

Most intense lines, 2θ from 5° to 70°, in order of rising 2θ:
(hkl)  2θ/deg  Rel. int.
1 1 0  18.2  7.5
1 2 0  28.0  13.1
1 2 1  36.4  100.0
0 3 1  39.6  7.9
4 -3 1  45.3  14.8
0 0 2  46.6  17.2
2 3 0  47.0  15.8
4 1 0  49.6  16.6
6 -2 1  63.1  6.4
2 3 2  68.4  8.4

(3)
Starting from a cell relaxed with PBE, the XRD peak list of Sr2P6Rh7 was computed for Cu Kα (weighted mean of Kα1 and Kα2).
Peak positions follow from Bragg's law for the DFT cell and can differ from measured ones.

Crystal structure
Cell: 11.2055 11.2055 4.1467 Å, 90.00 90.00 90.00°
Space group P-42_1m (No. 113)
Asymmetric unit:
Sr: 0.1615 0.3385 0.2487 [4 per cell]
P: 0.0726 0.5726 0.7654 [4 per cell]
P: 0.1109 0.8581 0.2765 [8 per cell]
Rh: 0.0000 0.0000 0.0000 [2 per cell]
Rh: 0.0374 0.7761 0.7556 [8 per cell]
Rh: 0.1525 0.6525 0.2636 [4 per cell]

Most intense lines, 2θ from 5° to 70°, in order of rising 2θ:
(hkl)  2θ/deg  Rel. int.
2 1 0  17.7  22.6
3 0 1  32.3  100.0
4 1 0  33.0  17.0
3 2 1  36.1  17.7
4 1 1  39.7  23.3
0 0 2  43.7  20.6
4 4 0  45.8  16.9
5 1 1  46.8  26.5
6 1 1  54.5  18.5
3 3 2  56.4  20.2

(4)
Starting from a cell relaxed with PBE, the XRD peak list of U6P13Rh20 was computed for Cu Kα (weighted mean of Kα1 and Kα2).
Peak positions follow from Bragg's law for the DFT cell and can differ from measured ones.

Crystal structure
Cell: 13.4033 13.4033 3.8760 Å, 90.00 90.00 120.00°
Space group P-3 (No. 147)
Asymmetric unit:
U: 0.1909 0.4727 0.2493 [6 per cell]
P: 0.0000 0.0000 0.0000 [1 per cell]
P: 0.0561 0.2845 0.7467 [6 per cell]
P: 0.1398 0.6135 0.7502 [6 per cell]
Rh: 0.0216 0.5822 0.2495 [6 per cell]
Rh: 0.0773 0.7477 0.7484 [6 per cell]
Rh: 0.0921 0.9057 0.2504 [6 per cell]
Rh: 0.3333 0.6667 0.7494 [2 per cell]

Most intense lines, 2θ from 5° to 70°, in order of rising 2θ:
(hkl)  2θ/deg  Rel. int.
0 1 1  24.2  7.7
1 3 0  27.7  20.3
2 3 0  33.7  8.8
4 -2 1  35.4  19.3
1 3 1  36.3  100.0
2 4 0  41.1  12.4
0 0 2  46.9  16.6
5 2 0  49.0  22.3
4 -1 2  55.3  7.8
8 -2 1  62.5  11.3

(5)
Starting from a cell relaxed with PBE, the XRD peak list of U6P13Rh20 was computed for Cu Kα (weighted mean of Kα1 and Kα2).
Peak positions follow from Bragg's law for the DFT cell and can differ from measured ones.

Crystal structure
Cell: 13.4605 13.4605 3.8655 Å, 90.00 90.00 120.00°
Space group P-6 (No. 174)
Asymmetric unit:
U: 0.0512 0.8556 0.0000 [3 per cell]
U: 0.5236 0.1410 0.5000 [3 per cell]
P: 0.0480 0.4355 0.0000 [3 per cell]
P: 0.1049 0.7245 0.5000 [3 per cell]
P: 0.1939 0.0537 0.5000 [3 per cell]
P: 0.3333 0.6667 0.5000 [1 per cell]
P: 0.4716 0.2782 0.0000 [3 per cell]
Rh: 0.0000 0.0000 0.5000 [1 per cell]
Rh: 0.0023 0.5862 0.0000 [3 per cell]
Rh: 0.0805 0.3381 0.5000 [3 per cell]
Rh: 0.1409 0.5717 0.5000 [3 per cell]
Rh: 0.2398 0.7593 0.0000 [3 per cell]
Rh: 0.3124 0.0851 0.0000 [3 per cell]
Rh: 0.3530 0.2493 0.5000 [3 per cell]
Rh: 0.6667 0.3333 0.0000 [1 per cell]

Most intense lines, 2θ from 5° to 70°, in order of rising 2θ:
(hkl)  2θ/deg  Rel. int.
1 0 1  24.3  7.5
1 3 0  27.6  17.5
2 3 0  33.5  9.0
2 2 1  35.3  20.1
1 3 1  36.2  100.0
4 0 1  38.7  7.1
2 4 0  41.0  12.3
0 0 2  47.0  16.9
5 2 0  48.8  22.4
2 6 1  62.2  10.2

(6)
Starting from a cell relaxed with PBE, the XRD peak list of Y2P7Rh12 was computed for Cu Kα (weighted mean of Kα1 and Kα2).
Peak positions follow from Bragg's law for the DFT cell and can differ from measured ones.

Crystal structure
Cell: 9.6206 9.6206 3.8869 Å, 90.00 90.00 120.00°
Space group P-3 (No. 147)
Asymmetric unit:
Y: 0.3333 0.6667 0.2494 [2 per cell]
P: 0.0000 0.0000 0.0000 [1 per cell]
P: 0.1185 0.4051 0.7466 [6 per cell]
Rh: 0.0680 0.6184 0.7493 [6 per cell]
Rh: 0.1106 0.8493 0.2498 [6 per cell]

Most intense lines, 2θ from 5° to 70°, in order of rising 2θ:
(hkl)  2θ/deg  Rel. int.
1 2 0  28.3  12.8
1 2 1  36.7  100.0
2 2 0  37.4  6.3
0 3 1  39.9  6.1
4 -3 1  45.7  11.4
0 0 2  46.7  16.4
2 3 0  47.6  12.6
4 1 0  50.2  18.6
6 -2 1  63.8  6.5
2 3 2  68.9  6.6

(7)
Starting from a cell relaxed with PBE, the XRD peak list of ZrPRh was computed for Cu Kα (weighted mean of Kα1 and Kα2).
Peak positions follow from Bragg's law for the DFT cell and can differ from measured ones.

Crystal structure
Cell: 6.5369 3.8183 7.4588 Å, 90.00 90.00 90.00°
Space group Pnma (No. 62)
Asymmetric unit:
Zr: 0.0268 0.2500 0.1799 [4 per cell]
P: 0.2385 0.7500 0.3776 [4 per cell]
Rh: 0.1444 0.2500 0.5618 [4 per cell]

Most intense lines, 2θ from 5° to 70°, in order of rising 2θ:
(hkl)  2θ/deg  Rel. int.
1 1 1  29.6  28.6
2 1 0  36.2  60.0
1 1 2  36.4  100.0
2 0 2  36.6  19.7
2 1 1  38.2  74.7
1 0 3  38.7  38.1
3 0 1  43.3  35.8
0 1 3  43.4  43.3
0 2 0  47.6  42.4
3 2 1  66.3  19.5

(8)
Starting from a cell relaxed with PBE, the XRD peak list of P4Ru was computed for Cu Kα (weighted mean of Kα1 and Kα2).
Peak positions follow from Bragg's law for the DFT cell and can differ from measured ones.

Crystal structure
Cell: 4.7201 4.7019 7.1537 Å, 90.00 99.45 90.00°
Space group P2_1/c (No. 14)
Asymmetric unit:
P: 0.1213 0.1498 0.4115 [4 per cell]
P: 0.2850 0.6917 0.7510 [4 per cell]
Ru: 0.5000 0.0000 0.0000 [2 per cell]

Most intense lines, 2θ from 5° to 70°, in order of rising 2θ:
(hkl)  2θ/deg  Rel. int.
1 0 0  19.1  32.6
0 1 1  22.7  43.6
1 1 -1  28.4  40.4
1 0 -2  29.1  27.5
1 1 1  31.2  100.0
1 1 -2  34.9  30.2
2 1 -1  43.4  26.9
0 2 2  46.4  24.3
2 0 2  50.4  21.7
1 0 -4  52.4  27.8

Question: What is the formula in the second record?
Answer: Sr2P7Rh12

Question: Which formula does entry 6 have?
Answer: Y2P7Rh12